Entry 1:
This entry pairs a crystal structure of K2FeH4S2O10 with its calculated powder X-ray diffraction pattern. Radiation: λ = 1.5418 Å (Cu Kα). Structure: DFT lattice parameters and positions (PBE+U).
Kinematic intensities with the Lorentz-polarization factor, no thermal factor.

Largest 10 diffraction maxima, by angle, 2θ = 5–70°:
2theta  Rel. int.
12.6  52
13.5  26
15.4  68
23.8  36
25.3  54
27.1  28
27.6  100
28.5  82
29.7  41
32.4  63

```
K2FeH4S2O10
1.0
6.763 0.000 0.000
2.601 7.252 0.000
2.918 2.555 10.127
K Fe H S O
4 2 8 4 20
direct
0.000 0.000 0.000 K
0.040 0.453 0.337 K
0.512 0.999 0.496 K
0.555 0.507 0.833 K
0.030 0.822 0.663 Fe
0.521 0.705 0.162 Fe
0.002 0.468 0.784 H
0.110 0.458 0.634 H
0.164 0.044 0.713 H
0.394 0.418 0.122 H
0.395 0.615 0.597 H
0.397 0.036 0.209 H
0.532 0.048 0.058 H
0.609 0.325 0.188 H
0.026 0.522 0.997 S
0.045 0.959 0.330 S
0.533 0.442 0.475 S
0.541 0.964 0.845 S
0.047 0.054 0.671 O
0.072 0.687 0.889 O
0.166 0.811 0.252 O
0.189 0.071 0.327 O
0.227 0.400 0.046 O
0.339 0.725 0.636 O
0.341 0.390 0.475 O
0.348 0.083 0.789 O
0.482 0.806 0.959 O
0.485 0.437 0.174 O
0.532 0.978 0.152 O
0.593 0.593 0.357 O
0.629 0.079 0.893 O
0.702 0.872 0.741 O
0.721 0.280 0.504 O
0.853 0.079 0.274 O
0.869 0.594 0.110 O
0.939 0.407 0.948 O
0.976 0.858 0.472 O
0.998 0.538 0.689 O
```

=====

Entry 2:
This entry pairs a crystal structure of Mn3OF5 with its calculated powder X-ray diffraction pattern. Radiation: λ = 1.5418 Å (Cu Kα). Structure: DFT lattice parameters and positions (PBE+U).
Kinematic intensities with the Lorentz-polarization factor, no thermal factor.

Largest 10 diffraction maxima, by angle, 2θ = 5–70°:
2theta  Rel. int.
25.6  100
33.2  50
38.0  21
50.2  48
50.3  15
52.6  9
52.7  9
57.1  11
63.5  24
63.8  12

```
Mn3OF5
1.0
6.965 0.000 0.000
0.000 3.228 0.000
-3.446 0.000 10.422
Mn O F
6 2 10
direct
0.000 0.000 0.000 Mn
0.152 0.500 0.345 Mn
0.340 0.000 0.681 Mn
0.509 0.500 0.020 Mn
0.695 0.000 0.357 Mn
0.847 0.500 0.697 Mn
0.941 0.500 0.883 O
0.983 0.000 0.348 O
0.036 0.000 0.684 F
0.069 0.500 0.132 F
0.283 0.500 0.551 F
0.314 0.000 0.021 F
0.366 0.000 0.348 F
0.407 0.500 0.815 F
0.608 0.500 0.226 F
0.648 0.000 0.685 F
0.706 0.000 0.021 F
0.745 0.500 0.495 F
```

=====

Entry 3:
This entry pairs a crystal structure of CoH4SeO5 with its calculated powder X-ray diffraction pattern. Radiation: λ = 1.5418 Å (Cu Kα). Structure: DFT lattice parameters and positions (PBE+U).
Kinematic intensities with the Lorentz-polarization factor, no thermal factor.

Largest 10 diffraction maxima, by angle, 2θ = 5–70°:
2theta  Rel. int.
15.2  100
21.7  26
23.0  34
25.2  51
29.4  70
32.2  33
34.8  20
35.3  26
37.1  27
40.4  21

```
CoH4SeO5
1.0
6.550 0.000 0.000
0.000 8.938 0.000
-5.344 0.000 7.678
Co H Se O
4 16 4 20
direct
0.172 0.134 0.019 Co
0.172 0.366 0.519 Co
0.828 0.634 0.481 Co
0.828 0.866 0.981 Co
0.070 0.139 0.638 H
0.070 0.361 0.138 H
0.284 0.077 0.616 H
0.284 0.423 0.116 H
0.306 0.514 0.800 H
0.306 0.986 0.300 H
0.432 0.148 0.373 H
0.432 0.352 0.873 H
0.568 0.648 0.127 H
0.568 0.852 0.627 H
0.694 0.014 0.700 H
0.694 0.486 0.200 H
0.716 0.577 0.884 H
0.716 0.923 0.384 H
0.930 0.639 0.862 H
0.930 0.861 0.362 H
0.235 0.656 0.338 Se
0.235 0.844 0.838 Se
0.765 0.156 0.162 Se
0.765 0.344 0.662 Se
0.086 0.672 0.768 O
0.086 0.828 0.268 O
0.137 0.590 0.466 O
0.137 0.910 0.966 O
0.142 0.146 0.569 O
0.142 0.354 0.069 O
0.409 0.064 0.294 O
0.409 0.436 0.794 O
0.463 0.206 0.001 O
0.463 0.294 0.501 O
0.537 0.706 0.499 O
0.537 0.794 0.999 O
0.591 0.564 0.206 O
0.591 0.936 0.706 O
0.858 0.646 0.931 O
0.858 0.854 0.431 O
0.863 0.090 0.034 O
0.863 0.410 0.534 O
0.914 0.172 0.732 O
0.914 0.328 0.232 O
```

=====

Entry 4:
This entry pairs a crystal structure of ZrCoF6 with its calculated powder X-ray diffraction pattern. Radiation: λ = 1.5418 Å (Cu Kα). Structure: DFT lattice parameters and positions (PBE+U).
Kinematic intensities with the Lorentz-polarization factor, no thermal factor.

Largest 10 diffraction maxima, by angle, 2θ = 5–70°:
2theta  Rel. int.
18.8  5
21.8  100
31.0  27
36.5  3
44.4  27
48.6  1
49.9  38
55.1  11
64.5  15
69.0  16

```
ZrCoF6
1.0
0.000 4.084 4.084
4.084 0.000 4.084
4.084 4.084 0.000
Zr Co F
1 1 6
direct
0.000 0.000 0.000 Zr
0.500 0.500 0.500 Co
0.250 0.250 0.750 F
0.250 0.750 0.250 F
0.250 0.750 0.750 F
0.750 0.250 0.250 F
0.750 0.250 0.750 F
0.750 0.750 0.250 F
```

=====

Entry 5:
This entry pairs a crystal structure of Li4Co3Sn5O16 with its calculated powder X-ray diffraction pattern. Radiation: λ = 1.5418 Å (Cu Kα). Structure: DFT lattice parameters and positions (PBE+U).
Kinematic intensities with the Lorentz-polarization factor, no thermal factor.

Largest 10 diffraction maxima, by angle, 2θ = 5–70°:
2theta  Rel. int.
17.9  33
18.9  100
24.6  42
31.9  42
34.4  60
34.9  65
43.7  46
53.4  23
58.1  41
60.2  35

```
Li4Co3Sn5O16
1.0
5.322 -3.074 0.000
5.322 3.074 0.000
-0.011 0.000 9.888
Li Co Sn O
4 3 5 16
direct
0.000 0.000 0.000 Li
0.007 0.007 0.493 Li
0.348 0.348 0.586 Li
0.685 0.685 0.097 Li
0.187 0.677 0.276 Co
0.677 0.187 0.276 Co
0.846 0.846 0.775 Co
0.186 0.186 0.275 Sn
0.355 0.848 0.774 Sn
0.357 0.357 0.003 Sn
0.685 0.685 0.496 Sn
0.848 0.355 0.774 Sn
0.013 0.013 0.184 O
0.016 0.016 0.678 O
0.054 0.502 0.147 O
0.179 0.179 0.897 O
0.185 0.690 0.895 O
0.339 0.851 0.392 O
0.351 0.351 0.383 O
0.499 0.499 0.159 O
0.502 0.054 0.147 O
0.526 0.982 0.642 O
0.530 0.530 0.644 O
0.681 0.681 0.889 O
0.690 0.185 0.895 O
0.851 0.339 0.392 O
0.853 0.853 0.383 O
0.982 0.526 0.642 O
```

=====

Entry 6:
This entry pairs a crystal structure of LiNiBO3 with its calculated powder X-ray diffraction pattern. Radiation: λ = 1.5418 Å (Cu Kα). Structure: DFT lattice parameters and positions (PBE+U).
Kinematic intensities with the Lorentz-polarization factor, no thermal factor.

Largest 10 diffraction maxima, by angle, 2θ = 5–70°:
2theta  Rel. int.
21.2  100
22.5  57
22.9  24
34.1  16
34.9  20
35.1  65
36.2  23
39.7  21
41.1  20
41.2  28

```
LiNiBO3
1.0
4.965 0.000 0.000
-2.361 4.579 0.000
-2.303 -1.568 5.117
Li Ni B O
2 2 2 6
direct
0.049 0.110 0.317 Li
0.951 0.890 0.683 Li
0.329 0.737 0.250 Ni
0.671 0.263 0.750 Ni
0.311 0.592 0.745 B
0.689 0.408 0.255 B
0.128 0.653 0.848 O
0.269 0.305 0.707 O
0.487 0.184 0.337 O
0.513 0.816 0.663 O
0.731 0.695 0.293 O
0.872 0.347 0.152 O
```

=====

Entry 7:
This entry pairs a crystal structure of VPb2Se2ClO8 with its calculated powder X-ray diffraction pattern. Radiation: λ = 1.5418 Å (Cu Kα). Structure: DFT lattice parameters and positions (PBE+U).
Kinematic intensities with the Lorentz-polarization factor, no thermal factor.

Largest 10 diffraction maxima, by angle, 2θ = 5–70°:
2theta  Rel. int.
11.3  72
23.5  68
23.6  75
26.3  46
28.0  100
29.3  61
32.2  71
33.3  54
42.9  33
46.7  35

```
VPb2Se2ClO8
1.0
8.532 0.000 0.000
0.000 5.386 0.000
-4.153 0.000 10.173
V Pb Se Cl O
2 4 4 2 16
direct
0.151 0.000 0.057 V
0.849 0.500 0.943 V
0.204 0.986 0.499 Pb
0.322 0.530 0.813 Pb
0.678 0.030 0.187 Pb
0.796 0.486 0.501 Pb
0.008 0.980 0.726 Se
0.373 0.491 0.191 Se
0.627 0.991 0.809 Se
0.992 0.480 0.274 Se
0.376 0.470 0.553 Cl
0.624 0.970 0.447 Cl
0.024 0.689 0.032 O
0.058 0.759 0.628 O
0.077 0.241 0.669 O
0.173 0.039 0.212 O
0.173 0.907 0.872 O
0.322 0.263 0.064 O
0.368 0.760 0.102 O
0.413 0.942 0.742 O
0.587 0.442 0.258 O
0.632 0.260 0.898 O
0.678 0.763 0.936 O
0.827 0.407 0.128 O
0.827 0.539 0.788 O
0.923 0.741 0.331 O
0.942 0.259 0.372 O
0.976 0.189 0.968 O
```